Diffraction record for MnO2. The powder diffraction line list is calculated, not measured: it uses a structure optimized by DFT (PBE+U) and λ = 1.5418 Å (Cu Kα).

Structural model:
```
data_MnO2
_chemical_formula_sum 'Mn8 O16'
_cell_length_a 8.627
_cell_length_b 2.917
_cell_length_c 10.389
_cell_angle_alpha 90.00
_cell_angle_beta 90.00
_cell_angle_gamma 90.00
_symmetry_space_group_name_H-M 'P n m a'
_symmetry_Int_Tables_number 62
loop_
_symmetry_equiv_pos_as_xyz
'x,y,z'
'-x,-y,-z'
'-x+1/2,-y,z+1/2'
'x+1/2,y,-z+1/2'
'x+1/2,-y+1/2,-z+1/2'
'-x+1/2,y+1/2,z+1/2'
'-x,y+1/2,-z'
'x,-y+1/2,z'
loop_
_atom_site_label
_atom_site_fract_x
_atom_site_fract_y
_atom_site_fract_z
_atom_site_occupancy
Mn1 0.055 0.250 0.115 1
Mn2 0.084 0.250 0.601 1
O1 0.032 0.750 0.713 1
O2 0.084 0.250 0.930 1
O3 0.117 0.750 0.481 1
O4 0.196 0.750 0.149 1
```

Top 8 peaks for 2θ from 10° to 80°, by angle:
2θ = 19.95°, I = 89.0, hkl 1 0 2
2θ = 20.59°, I = 100.0, hkl 2 0 0
2θ = 34.53°, I = 31.5, hkl 0 0 4
2θ = 35.69°, I = 44.2, hkl 3 0 2
2θ = 36.84°, I = 73.4, hkl 1 1 2
2θ = 51.67°, I = 31.7, hkl 2 1 4
2θ = 52.80°, I = 30.2, hkl 4 1 0
2θ = 64.62°, I = 26.5, hkl 4 1 4

Diffraction record for Mg6CoSnO8. The powder diffraction line list is calculated, not measured: it uses a structure optimized by DFT (PBE+U) and λ = 1.5418 Å (Cu Kα).

Structural model:
```
data_Mg6CoSnO8
_chemical_formula_sum 'Mg6 Co1 Sn1 O8'
_cell_length_a 4.396
_cell_length_b 4.396
_cell_length_c 8.862
_cell_angle_alpha 90.00
_cell_angle_beta 90.00
_cell_angle_gamma 90.00
_symmetry_space_group_name_H-M 'P 4/m m m'
_symmetry_Int_Tables_number 123
_symmetry_space_group_name_Hall '-P 4 2'
loop_
_atom_site_label
_atom_site_fract_x
_atom_site_fract_y
_atom_site_fract_z
_atom_site_occupancy
Mg1 0.000 0.000 0.000 1
Mg2 0.000 0.000 0.500 1
Mg3 0.000 0.500 0.231 1
Co1 0.500 0.500 0.000 1
Sn1 0.500 0.500 0.500 1
O1 0.000 0.000 0.250 1
O2 0.000 0.500 0.000 1
O3 0.000 0.500 0.500 1
O4 0.500 0.500 0.245 1
```

Top 8 peaks for 2θ from 10° to 80°, by angle:
2θ = 20.20°, I = 49.1, hkl 1 0 0
2θ = 28.60°, I = 42.7, hkl 1 0 2
2θ = 35.27°, I = 58.0, hkl 1 1 2
2θ = 40.73°, I = 48.8, hkl 0 0 4
2θ = 41.06°, I = 100.0, hkl 2 0 0
2θ = 59.21°, I = 57.9, hkl 2 0 4
2θ = 59.47°, I = 30.0, hkl 2 2 0
2θ = 74.58°, I = 27.2, hkl 2 2 4